This entry pairs a crystal structure of Tl3Bi2O8 with its calculated PXRD pattern. Radiation: Cu Kα (weighted mean of Kα1 and Kα2). Structure: DFT lattice parameters and positions (GGA-PBE).

The 10 most intense peaks (2θ = 10–90°), in order of rising 2θ:
2θ 24.9, I = 99, (1 1 1); 2θ 27.5, I = 100, (3 1 -1); 2θ 31.0, I = 61, (2 2 0); 2θ 31.3, I = 91, (0 2 1); 2θ 31.7, I = 55, (2 0 -2); 2θ 32.4, I = 53, (2 2 -1); 2θ 32.8, I = 51, (4 0 0); 2θ 50.5, I = 57, (4 2 1); 2θ 54.1, I = 48, (0 4 0); 2θ 55.5, I = 46, (2 2 -3)

Crystal structure
```
data_Tl3Bi2O8
_cell_length_a 11.733
_cell_length_b 6.781
_cell_length_c 5.702
_cell_angle_alpha 90.00
_cell_angle_beta 111.25
_cell_angle_gamma 90.00
_space_group_name_H-M_alt 'C 1 2/m 1'
_space_group_IT_number 12
_space_group_name_Hall '-C 2y'
loop_
_atom_site_label
_atom_site_fract_x
_atom_site_fract_y
_atom_site_fract_z
Tl1 0.000 0.000 0.000
Tl2 0.000 0.261 0.500
Bi1 0.222 0.500 0.159
O1 0.099 0.500 0.381
O2 0.117 0.000 0.452
O3 0.129 0.218 0.921
```